[1]
The following is a simulated X-ray powder pattern of KSnAuS3. It was derived from the PBE geometry in Alexandria, using CuKα.

Structural model:
a b c (Å): 8.304 8.304 19.545
angles (deg): 90.00 90.00 90.00
Space group P4cc (No. 103)
One atom of each set of equivalent atoms:
K (0.000, 0.000, 0.000)
K (0.000, 0.000, 0.203)
K (0.500, 0.500, 0.052)
K (0.500, 0.500, 0.334)
Sn (0.000, 0.500, 0.019)
Sn (0.000, 0.500, 0.195)
Au (0.007, 0.316, 0.357)
S (0.152, 0.345, 0.107)
S (0.166, 0.320, 0.762)
S (0.177, 0.328, 0.453)

Top 6 peaks for 2θ = 10–90°, by angle:
| 2theta | intensity | index |
| --- | --- | --- |
| 15.09 | 100 | 1 1 0 |
| 25.66 | 45 | 2 1 2 |
| 30.23 | 42 | 2 1 4 |
| 31.83 | 35 | 2 2 2 |
| 35.01 | 39 | 2 0 6 |
| 35.68 | 37 | 2 2 4 |

[2]
The following is a simulated X-ray powder pattern of InCu3O4. It was derived from the PBE geometry in Alexandria, using CuKα.

Structural model:
a b c (Å): 5.189 5.189 5.189
angles (deg): 90.00 90.00 90.00
Space group P-43m (No. 215)
One atom of each set of equivalent atoms:
In (0.000, 0.000, 0.000)
Cu (0.000, 0.000, 0.500)
O (0.229, 0.229, 0.229)

Top 6 peaks for 2θ = 10–90°, by angle:
| 2theta | intensity | index |
| --- | --- | --- |
| 17.09 | 100 | 1 0 0 |
| 29.82 | 12 | 1 1 1 |
| 34.57 | 31 | 2 0 0 |
| 38.81 | 42 | 2 1 0 |
| 49.70 | 45 | 2 2 0 |
| 52.94 | 23 | 2 2 1 |

[3]
The following is a simulated X-ray powder pattern of TlNi2Os. It was derived from the PBE geometry in Alexandria, using CuKα.

Structural model:
a b c (Å): 2.830 4.510 9.074
angles (deg): 90.00 90.00 90.00
Space group Imm2 (No. 44)
One atom of each set of equivalent atoms:
Tl (0.000, 0.000, 0.000)
Ni (0.000, 0.000, 0.485)
Ni (0.000, 0.500, 0.755)
Os (0.000, 0.500, 0.223)

Top 6 peaks for 2θ = 10–90°, by angle:
| 2theta | intensity | index |
| --- | --- | --- |
| 22.01 | 23 | 0 1 1 |
| 35.74 | 22 | 0 1 3 |
| 39.73 | 28 | 0 0 4 |
| 39.98 | 31 | 0 2 0 |
| 42.66 | 100 | 1 1 2 |
| 74.46 | 19 | 1 3 2 |

[4]
The following is a simulated X-ray powder pattern of Ac2Hg2Rh. It was derived from the PBE geometry in Alexandria, using CuKα.

Structural model:
a b c (Å): 4.149 6.568 11.764
angles (deg): 90.20 100.14 108.39
Space group P-1 (No. 2)
One atom of each set of equivalent atoms:
Ac (0.075, 0.270, 0.382)
Ac (0.286, 0.206, 0.866)
Hg (0.027, 0.650, 0.903)
Hg (0.347, 0.816, 0.379)
Rh (0.414, 0.123, 0.206)

Top 6 peaks for 2θ = 10–90°, by angle:
| 2theta | intensity | index |
| --- | --- | --- |
| 28.70 | 47 | 0 2 0 |
| 30.11 | 97 | -1 1 3 |
| 30.93 | 100 | 0 0 4 |
| 33.17 | 54 | 1 1 1 |
| 35.51 | 81 | 1 1 -3 |
| 43.64 | 40 | -2 1 1 |

> Number 4 is which compound?

Ac2Hg2Rh